1.
# Cs2AgCl6O
Computed powder diffractogram, Cu Kα. Input: a cell relaxed with GGA-PBE.
Lines closer than 0.1° are merged.

Cell and atoms:
Lattice parameters (Å, degrees): 6.924 6.924 11.562 90.00 90.00 90.00
Space group I4/mmm (No. 139)
Symmetry-distinct sites (fractional):
Cs: 0.000 0.500 0.250 (multiplicity 4)
Ag: 0.000 0.000 0.000 (multiplicity 2)
Cl: 0.000 0.000 0.205 (multiplicity 4)
Cl: 0.226 0.226 0.500 (multiplicity 8)
O: 0.000 0.000 0.500 (multiplicity 2)

Principal peaks in the range 10 to 90 degrees two-theta, by angle:
d = 5.940 Å, 14.91 deg, I = 23, (1 0 1)
d = 3.736 Å, 23.82 deg, I = 100, (1 1 2)
d = 3.462 Å, 25.73 deg, I = 39, (2 0 0)
d = 2.991 Å, 29.87 deg, I = 19, (2 1 1)
d = 2.970 Å, 30.09 deg, I = 55, (2 0 2)
d = 2.890 Å, 30.94 deg, I = 38, (0 0 4)
d = 2.448 Å, 36.71 deg, I = 51, (2 2 0)
d = 2.048 Å, 44.24 deg, I = 35, (3 1 2)
d = 1.868 Å, 48.75 deg, I = 37, (2 2 4)
d = 1.446 Å, 64.42 deg, I = 19, (0 0 8)

2.
# CsAgOsCl6
Computed powder diffractogram, Cu Kα. Input: a cell relaxed with GGA-PBE.
Lines closer than 0.1° are merged.

Cell and atoms:
Lattice parameters (Å, degrees): 6.8700 6.8700 7.4808 90.00 90.00 120.00
Space group P312 (No. 149)
Symmetry-distinct sites (fractional):
Cs: 0.0000 0.0000 0.0000 (multiplicity 1)
Ag: 0.3333 0.6667 0.5000 (multiplicity 1)
Os: 0.6667 0.3333 0.5000 (multiplicity 1)
Cl: 0.3930 0.0467 0.6799 (multiplicity 6)

Principal peaks in the range 10 to 90 degrees two-theta, by angle:
d = 7.481 Å, 11.83 deg, I = 38, (0 0 1)
d = 4.656 Å, 19.06 deg, I = 100, (1 0 1)
d = 3.435 Å, 25.94 deg, I = 28, (1 1 0)
d = 3.122 Å, 28.60 deg, I = 16, (2 -1 1)
d = 2.764 Å, 32.39 deg, I = 20, (2 0 1)
d = 2.530 Å, 35.48 deg, I = 58, (2 -1 2)
d = 2.154 Å, 41.95 deg, I = 24, (3 -1 1)
d = 1.983 Å, 45.75 deg, I = 18, (3 0 0)
d = 1.670 Å, 54.99 deg, I = 12, (2 1 3)
d = 1.643 Å, 55.98 deg, I = 13, (1 1 4)

3.
# Cs2PuAgCl6
Computed powder diffractogram, Cu Kα. Input: a cell relaxed with GGA-PBE.
Lines closer than 0.1° are merged.

Cell and atoms:
Lattice parameters (Å, degrees): 7.6262 7.6262 6.7016 90.00 90.00 120.00
Space group P-3m1 (No. 164)
Symmetry-distinct sites (fractional):
Cs: 0.3333 0.6667 0.2754 (multiplicity 2)
Pu: 0.0000 0.0000 0.0000 (multiplicity 1)
Ag: 0.0000 0.0000 0.5000 (multiplicity 1)
Cl: 0.1655 0.3310 0.7580 (multiplicity 6)

Principal peaks in the range 10 to 90 degrees two-theta, by angle:
d = 6.605 Å, 13.41 deg, I = 82, (1 0 0)
d = 4.704 Å, 18.86 deg, I = 52, (0 1 1)
d = 3.813 Å, 23.33 deg, I = 100, (1 1 0)
d = 2.988 Å, 29.90 deg, I = 73, (1 0 2)
d = 2.962 Å, 30.17 deg, I = 70, (2 0 1)
d = 2.352 Å, 38.27 deg, I = 66, (0 2 2)
d = 2.202 Å, 41.00 deg, I = 23, (3 0 0)
d = 2.002 Å, 45.30 deg, I = 49, (2 1 2)
d = 1.907 Å, 47.70 deg, I = 34, (2 2 0)
d = 1.607 Å, 57.32 deg, I = 24, (1 3 2)